1.
Theoretical X-ray diffraction stick pattern
Compound: AcLa3Sm7
Radiation: a wavelength of 1.5418 Å
Structure: a GGA-PBE-relaxed structure
Neutral-atom scattering factors, no anomalous dispersion.

Atomic structure:
```
AcLa3Sm7
1.0
5.990 -5.109 0.000
5.990 5.109 0.000
-0.573 0.000 6.627
Ac La Sm
1 3 7
direct
0.000 0.000 0.000
0.322 0.678 0.500
0.500 0.500 0.000
0.678 0.322 0.500
0.000 0.000 0.500
0.073 0.420 0.759
0.266 0.266 0.299
0.420 0.073 0.759
0.580 0.927 0.241
0.734 0.734 0.701
0.927 0.580 0.241
```

Principal peaks in the range 15 to 90 degrees two-theta, most intense first:
2theta  d/Å  Rel. int.
29.9  2.984  100.0
29.7  3.009  93.8
30.7  2.909  91.7
32.0  2.796  71.4
36.6  2.457  61.0
27.3  3.272  41.6


2.
Theoretical X-ray diffraction stick pattern
Compound: NaMg6Pd12
Radiation: a wavelength of 1.5418 Å
Structure: a GGA-PBE-relaxed structure
Neutral-atom scattering factors, no anomalous dispersion.

Atomic structure:
```
NaMg6Pd12
1.0
5.895 3.403 2.724
-5.895 3.403 2.724
0.000 -6.807 2.724
Na Mg Pd
1 6 12
direct
0.000 0.000 0.000
0.081 0.206 0.473
0.206 0.473 0.081
0.473 0.081 0.206
0.527 0.919 0.794
0.794 0.527 0.919
0.919 0.794 0.527
0.130 0.833 0.272
0.167 0.728 0.870
0.186 0.590 0.481
0.272 0.130 0.833
0.410 0.519 0.814
0.481 0.186 0.590
0.519 0.814 0.410
0.590 0.481 0.186
0.728 0.870 0.167
0.814 0.410 0.519
0.833 0.272 0.130
0.870 0.167 0.728
```

Principal peaks in the range 15 to 90 degrees two-theta, most intense first:
2theta  d/Å  Rel. int.
40.5  2.228  100.0
42.5  2.126  46.9
36.3  2.472  42.3
25.5  3.489  28.6
45.3  2.000  27.9
83.1  1.162  22.2